[1]
The following is a simulated X-ray powder pattern of Ce2Mn2Se2O3. It was derived from a structure optimized by DFT (PBE+U), using Cu Ka.
Kinematic intensities with the Lorentz-polarization factor, no thermal factor.

Structure:
```
Ce2Mn2Se2O3
1.0
-2.0765 2.0765 9.3637
2.0765 -2.0765 9.3637
2.0765 2.0765 -9.3637
Ce Mn Se O
2 2 2 3
Direct
0.1880 0.1880 0.0000
0.8120 0.8120 0.0000
0.0000 0.5000 0.5000
0.5000 0.0000 0.5000
0.3970 0.3970 0.0000
0.6030 0.6030 0.0000
0.0000 0.0000 0.0000
0.2500 0.7500 0.5000
0.7500 0.2500 0.5000
```

Largest 6 diffraction maxima, low angle first, 10 to 90 degrees two-theta:
25.8 deg, rel. 31
30.4 deg, rel. 29
32.2 deg, rel. 100
36.1 deg, rel. 26
43.6 deg, rel. 40
55.2 deg, rel. 42



[2]
The following is a simulated X-ray powder pattern of Ce2MnSe2O2. It was derived from a structure optimized by DFT (PBE+U), using Cu Ka.
Kinematic intensities with the Lorentz-polarization factor, no thermal factor.

Structure:
```
Ce2MnSe2O2
1.0
3.9810 0.0000 0.0000
0.0000 3.9810 0.0000
0.0000 0.0000 9.3153
Ce Mn Se O
2 1 2 2
Direct
0.0000 0.5000 0.1326
0.5000 0.0000 0.8674
0.5000 0.5000 0.5000
0.0000 0.5000 0.6818
0.5000 0.0000 0.3182
0.0000 0.0000 0.0000
0.5000 0.5000 0.0000
```

Largest 6 diffraction maxima, low angle first, 10 to 90 degrees two-theta:
29.5 deg, rel. 100
31.8 deg, rel. 31
36.7 deg, rel. 17
45.6 deg, rel. 25
50.9 deg, rel. 19
55.2 deg, rel. 34



[3]
The following is a simulated X-ray powder pattern of Sr4CeMn5O15. It was derived from a structure optimized by DFT (PBE+U), using Cu Ka.
Kinematic intensities with the Lorentz-polarization factor, no thermal factor.

Structure:
```
Sr4CeMn5O15
1.0
8.2546 -2.7566 0.0000
8.2546 2.7566 0.0000
-1.8234 0.0000 6.4858
Sr Ce Mn O
4 1 5 15
Direct
0.1010 0.1010 0.3987
0.3022 0.3022 0.2017
0.6978 0.6978 0.7983
0.8990 0.8990 0.6013
0.5000 0.5000 0.0000
0.0998 0.0998 0.9015
0.2998 0.2998 0.6977
0.5000 0.5000 0.5000
0.7002 0.7002 0.3023
0.9002 0.9002 0.0985
0.0000 0.0000 0.0000
0.0000 0.5000 0.5000
0.1238 0.6005 0.9019
0.2028 0.2028 0.8161
0.2129 0.6952 0.2869
0.3048 0.7871 0.7131
0.3995 0.8762 0.0981
0.4020 0.4020 0.6023
0.5000 0.0000 0.5000
0.5980 0.5980 0.3977
0.6005 0.1238 0.9019
0.6952 0.2129 0.2869
0.7871 0.3048 0.7131
0.7972 0.7972 0.1839
0.8762 0.3995 0.0981
```

Largest 6 diffraction maxima, low angle first, 10 to 90 degrees two-theta:
32.5 deg, rel. 100
40.1 deg, rel. 16
46.7 deg, rel. 37
58.0 deg, rel. 35
68.1 deg, rel. 14
77.5 deg, rel. 11



Copy entry 3 word for word.
The following is a simulated X-ray powder pattern of Sr4CeMn5O15. It was derived from a structure optimized by DFT (PBE+U), using Cu Ka.
Kinematic intensities with the Lorentz-polarization factor, no thermal factor.

Structure:
```
Sr4CeMn5O15
1.0
8.2546 -2.7566 0.0000
8.2546 2.7566 0.0000
-1.8234 0.0000 6.4858
Sr Ce Mn O
4 1 5 15
Direct
0.1010 0.1010 0.3987
0.3022 0.3022 0.2017
0.6978 0.6978 0.7983
0.8990 0.8990 0.6013
0.5000 0.5000 0.0000
0.0998 0.0998 0.9015
0.2998 0.2998 0.6977
0.5000 0.5000 0.5000
0.7002 0.7002 0.3023
0.9002 0.9002 0.0985
0.0000 0.0000 0.0000
0.0000 0.5000 0.5000
0.1238 0.6005 0.9019
0.2028 0.2028 0.8161
0.2129 0.6952 0.2869
0.3048 0.7871 0.7131
0.3995 0.8762 0.0981
0.4020 0.4020 0.6023
0.5000 0.0000 0.5000
0.5980 0.5980 0.3977
0.6005 0.1238 0.9019
0.6952 0.2129 0.2869
0.7871 0.3048 0.7131
0.7972 0.7972 0.1839
0.8762 0.3995 0.0981
```

Largest 6 diffraction maxima, low angle first, 10 to 90 degrees two-theta:
32.5 deg, rel. 100
40.1 deg, rel. 16
46.7 deg, rel. 37
58.0 deg, rel. 35
68.1 deg, rel. 14
77.5 deg, rel. 11